Simulated X-ray diffraction stick pattern
Compound: SrFeO3
Radiation: Cu Kα, 1.54184 Å
Structure: a GGA+U-relaxed structure

The 10 most intense peaks (10 to 90 degrees two-theta), in order of falling intensity:
(hkl), 2theta, I/Imax
1 1 0, 32.35, 100
2 0 0, 46.41, 39
2 1 1, 57.71, 38
2 2 0, 67.73, 22
3 1 0, 77.07, 16
1 1 1, 39.90, 13
2 2 2, 86.07, 7
3 1 1, 81.60, 4
2 1 0, 52.27, 1
1 0 0, 22.72, 1

Cell and atoms:
```
SrFeO3
1.0
3.9132 0.0000 0.0000
0.0000 3.9132 0.0000
0.0000 0.0000 3.9132
Sr Fe O
1 1 3
Cartesian
0.0000 0.0000 0.0000
1.9566 1.9566 1.9566
0.0000 1.9566 1.9566
1.9566 0.0000 1.9566
1.9566 1.9566 0.0000
```